Structure and simulated X-ray powder pattern of Mg4Cu2Se (a crystal structure in Alexandria, relaxed with GGA-PBE; copper Kα).
Intensities are scaled so that the largest is 100.

Peak list (10 most intense, 2θ = 5–70°, in order of rising 2θ)
23.35°, I 100
25.49°, I 14
30.63°, I 17
36.75°, I 82
38.05°, I 21
43.66°, I 21
44.60°, I 36
45.25°, I 31
52.35°, I 13
59.01°, I 16

Atomic structure:
Cell lengths 8.337, 8.337, 8.337 Å; angles 134.68, 134.68, 66.04 degrees
Element x y z (fractional)
Mg 0.035 0.535 0.840
Mg 0.196 0.035 0.500
Mg 0.304 0.804 0.840
Mg 0.465 0.304 0.500
Mg 0.535 0.696 0.500
Mg 0.696 0.196 0.160
Mg 0.804 0.965 0.500
Mg 0.965 0.465 0.160
Cu 0.131 0.369 0.500
Cu 0.369 0.869 0.239
Cu 0.631 0.131 0.761
Cu 0.869 0.631 0.500
Se 0.250 0.250 0.000
Se 0.750 0.750 0.000